Starting from the GGA-PBE geometry in Alexandria, the powder diffractogram of AcGe3Ru was calculated for Cu Ka.

Main lines, in order of rising 2θ (10° ≤ 2θ ≤ 90°):
2θ = 21.4°, intensity 24; 2θ = 27.8°, intensity 34; 2θ = 32.8°, intensity 74; 2θ = 32.9°, intensity 100; 2θ = 39.8°, intensity 64; 2θ = 48.6°, intensity 22; 2θ = 52.5°, intensity 40; 2θ = 57.5°, intensity 22; 2θ = 64.6°, intensity 18; 2θ = 67.9°, intensity 25

```
5
Lattice="-2.2655 2.2655 5.1425 2.2655 -2.2655 5.1425 2.2655 2.2655 -5.1425" Properties=species:S:1:pos:R:3 pbc="T T T"
Ac 0.0000 0.0000 0.0000
Ge 2.2655 0.0000 2.6389
Ge 0.0000 0.0000 4.3282
Ge 0.0000 2.2655 2.6389
Ru 0.0000 0.0000 6.7513
```